For Pr2Ho12Tm, a DFT-relaxed cell (GGA-PBE, Alexandria) gives the computed powder X-ray diffraction pattern in this record (copper Kα).

Atomic structure:
Cell: 3.5232 5.6373 24.7115 Å, 90.00 90.07 90.00°
Fractional positions:
Pr  0.0000  0.0000  0.2335
Pr  0.0000  0.0000  0.7665
Ho  0.0009  0.5000  0.4236
Ho  0.0012  0.5000  0.9377
Ho  0.4994  0.0000  0.0850
Ho  0.5000  0.0000  0.3761
Ho  0.5000  0.0000  0.6239
Ho  0.4997  0.5000  0.1731
Ho  0.5001  0.5000  0.3030
Ho  0.4999  0.5000  0.6970
Ho  0.5003  0.5000  0.8269
Ho  0.5006  0.0000  0.9150
Ho  0.9988  0.5000  0.0623
Ho  0.9991  0.5000  0.5764
Tm  0.0000  0.0000  0.5000

The 10 most intense peaks (2θ = 10–90°), by intensity:
| Position (°2θ) | intensity |
| --- | --- |
| 31.7 | 100 |
| 30.8 | 96 |
| 33.1 | 85 |
| 37.2 | 73 |
| 33.3 | 61 |
| 29.9 | 58 |
| 29.2 | 32 |
| 62.1 | 31 |
| 62.9 | 27 |
| 51.9 | 25 |

For Tb2Zn6Cu9, a DFT-relaxed cell (GGA-PBE, Alexandria) gives the computed powder X-ray diffraction pattern in this record (copper Kα).

Atomic structure:
Cell: 5.1331 5.1331 12.3431 Å, 90.00 90.00 120.00°
Fractional positions:
Tb  0.0000  0.0000  0.1689
Tb  0.0000  0.0000  0.8311
Zn  0.3333  0.6667  0.1654
Zn  0.3333  0.6667  0.5000
Zn  0.3333  0.6667  0.8346
Zn  0.6667  0.3333  0.1654
Zn  0.6667  0.3333  0.5000
Zn  0.6667  0.3333  0.8346
Cu  0.0000  0.5000  0.0000
Cu  0.0000  0.5000  0.3326
Cu  0.0000  0.5000  0.6674
Cu  0.5000  0.0000  0.0000
Cu  0.5000  0.0000  0.3326
Cu  0.5000  0.0000  0.6674
Cu  0.5000  0.5000  0.0000
Cu  0.5000  0.5000  0.3326
Cu  0.5000  0.5000  0.6674

The 10 most intense peaks (2θ = 10–90°), by intensity:
| Position (°2θ) | intensity |
| --- | --- |
| 41.5 | 100 |
| 40.6 | 31 |
| 44.0 | 29 |
| 29.6 | 26 |
| 35.0 | 26 |
| 67.1 | 23 |
| 46.4 | 21 |
| 61.4 | 17 |
| 73.8 | 17 |
| 79.2 | 15 |

For Dy7Y2Sc2, a DFT-relaxed cell (GGA-PBE, Alexandria) gives the computed powder X-ray diffraction pattern in this record (copper Kα).

Atomic structure:
Cell: 6.0530 7.8164 7.8175 Å, 107.43 97.25 104.92°
Fractional positions:
Dy  0.0000  0.0000  0.0000
Dy  0.0901  0.3659  0.8187
Dy  0.1845  0.7242  0.6353
Dy  0.2726  0.0957  0.4548
Dy  0.7274  0.9043  0.5452
Dy  0.8155  0.2758  0.3647
Dy  0.9099  0.6341  0.1813
Y  0.4574  0.8130  0.0906
Y  0.5426  0.1870  0.9094
Sc  0.3627  0.4544  0.2767
Sc  0.6373  0.5456  0.7233

The 10 most intense peaks (2θ = 10–90°), by intensity:
| Position (°2θ) | intensity |
| --- | --- |
| 31.3 | 100 |
| 36.3 | 50 |
| 62.3 | 24 |
| 52.4 | 18 |
| 52.3 | 18 |
| 62.2 | 10 |
| 85.6 | 7 |
| 62.4 | 7 |
| 88.5 | 7 |
| 65.4 | 6 |

For ReMo3Br, a DFT-relaxed cell (GGA-PBE, Alexandria) gives the computed powder X-ray diffraction pattern in this record (copper Kα).

Atomic structure:
Cell: 4.5200 4.5200 4.5200 Å, 90.00 90.00 90.00°
Fractional positions:
Re  0.0000  0.0000  0.0000
Mo  0.0000  0.5000  0.5000
Mo  0.5000  0.0000  0.5000
Mo  0.5000  0.5000  0.0000
Br  0.5000  0.5000  0.5000

The 10 most intense peaks (2θ = 10–90°), by intensity:
| Position (°2θ) | intensity |
| --- | --- |
| 34.4 | 100 |
| 39.9 | 99 |
| 57.7 | 66 |
| 27.9 | 46 |
| 68.9 | 39 |
| 72.4 | 22 |
| 49.4 | 20 |
| 86.0 | 11 |
| 79.3 | 10 |
| 65.3 | 9 |

For Pm12NiSb6, a DFT-relaxed cell (GGA-PBE, Alexandria) gives the computed powder X-ray diffraction pattern in this record (copper Kα).

Atomic structure:
Cell: 8.7589 8.7589 8.7589 Å, 99.53 99.53 99.53°
Fractional positions:
Pm  0.0166  0.6876  0.9452
Pm  0.0548  0.9834  0.3124
Pm  0.1932  0.4192  0.5550
Pm  0.3124  0.0548  0.9834
Pm  0.4192  0.5550  0.1932
Pm  0.4450  0.8068  0.5808
Pm  0.5550  0.1932  0.4192
Pm  0.5808  0.4450  0.8068
Pm  0.6876  0.9452  0.0166
Pm  0.8068  0.5808  0.4450
Pm  0.9452  0.0166  0.6876
Pm  0.9834  0.3124  0.0548
Ni  0.0000  0.0000  0.0000
Sb  0.1226  0.6397  0.3122
Sb  0.3122  0.1226  0.6397
Sb  0.3603  0.6878  0.8774
Sb  0.6397  0.3122  0.1226
Sb  0.6878  0.8774  0.3603
Sb  0.8774  0.3603  0.6878

The 10 most intense peaks (2θ = 10–90°), by intensity:
| Position (°2θ) | intensity |
| --- | --- |
| 35.5 | 100 |
| 31.4 | 70 |
| 21.5 | 44 |
| 29.8 | 42 |
| 36.8 | 33 |
| 24.9 | 28 |
| 41.9 | 20 |
| 50.1 | 20 |
| 26.7 | 18 |
| 52.0 | 17 |

For Ba6PdPt, a DFT-relaxed cell (GGA-PBE, Alexandria) gives the computed powder X-ray diffraction pattern in this record (copper Kα).

Atomic structure:
Cell: 7.8955 7.8955 15.0242 Å, 90.00 90.00 120.00°
Fractional positions:
Ba  0.0087  0.3305  0.1242
Ba  0.0087  0.6783  0.3758
Ba  0.3217  0.3305  0.3758
Ba  0.3217  0.9913  0.1242
Ba  0.3305  0.0087  0.6242
Ba  0.3305  0.3217  0.8758
Ba  0.6695  0.6783  0.1242
Ba  0.6695  0.9913  0.3758
Ba  0.6783  0.0087  0.8758
Ba  0.6783  0.6695  0.6242
Ba  0.9913  0.3217  0.6242
Ba  0.9913  0.6695  0.8758
Pd  0.3333  0.6667  0.2500
Pd  0.6667  0.3333  0.7500
Pt  0.0000  0.0000  0.0000
Pt  0.0000  0.0000  0.5000

The 10 most intense peaks (2θ = 10–90°), by intensity:
| Position (°2θ) | intensity |
| --- | --- |
| 25.5 | 100 |
| 32.9 | 53 |
| 39.5 | 39 |
| 17.5 | 31 |
| 42.8 | 25 |
| 64.3 | 20 |
| 47.6 | 18 |
| 63.6 | 15 |
| 52.4 | 14 |
| 67.6 | 13 |

For ThTlTe4, a DFT-relaxed cell (GGA-PBE, Alexandria) gives the computed powder X-ray diffraction pattern in this record (copper Kα).

Atomic structure:
Cell: 6.9705 6.9705 8.7184 Å, 90.00 90.00 90.00°
Fractional positions:
Th  0.2500  0.2500  0.0000
Th  0.7500  0.7500  0.0000
Tl  0.2500  0.2500  0.5000
Tl  0.7500  0.7500  0.5000
Te  0.0991  0.5991  0.2160
Te  0.0991  0.9009  0.7840
Te  0.4009  0.5991  0.7840
Te  0.4009  0.9009  0.2160
Te  0.5991  0.0991  0.7840
Te  0.5991  0.4009  0.2160
Te  0.9009  0.0991  0.2160
Te  0.9009  0.4009  0.7840

The 10 most intense peaks (2θ = 10–90°), by intensity:
| Position (°2θ) | intensity |
| --- | --- |
| 27.3 | 100 |
| 30.5 | 64 |
| 32.9 | 60 |
| 40.9 | 50 |
| 59.7 | 25 |
| 18.0 | 25 |
| 56.9 | 24 |
| 60.2 | 23 |
| 42.5 | 17 |
| 36.5 | 16 |

For GaSnBr3, a DFT-relaxed cell (GGA-PBE, Alexandria) gives the computed powder X-ray diffraction pattern in this record (copper Kα).

Atomic structure:
Cell: 7.8256 4.3605 11.2131 Å, 90.00 103.03 90.00°
Fractional positions:
Ga  0.2236  0.2500  0.4678
Ga  0.7764  0.7500  0.5322
Sn  0.3589  0.2500  0.8379
Sn  0.6411  0.7500  0.1621
Br  0.0018  0.7500  0.3387
Br  0.2780  0.7500  0.0069
Br  0.4590  0.7500  0.6825
Br  0.5410  0.2500  0.3175
Br  0.7220  0.2500  0.9931
Br  0.9982  0.2500  0.6613

The 10 most intense peaks (2θ = 10–90°), by intensity:
| Position (°2θ) | intensity |
| --- | --- |
| 12.6 | 100 |
| 40.3 | 86 |
| 27.1 | 79 |
| 32.1 | 71 |
| 25.8 | 45 |
| 41.4 | 42 |
| 26.4 | 41 |
| 31.5 | 35 |
| 42.9 | 34 |
| 36.1 | 32 |

For CaDy5In3, a DFT-relaxed cell (GGA-PBE, Alexandria) gives the computed powder X-ray diffraction pattern in this record (copper Kα).

Atomic structure:
Cell: 9.3536 9.3536 6.7696 Å, 90.00 90.00 120.00°
Fractional positions:
Ca  0.0000  0.0000  0.0000
Ca  0.0000  0.0000  0.5000
Dy  0.0000  0.3346  0.2500
Dy  0.0000  0.6654  0.7500
Dy  0.3333  0.6667  0.0000
Dy  0.3333  0.6667  0.5000
Dy  0.3346  0.0000  0.2500
Dy  0.3346  0.3346  0.7500
Dy  0.6654  0.0000  0.7500
Dy  0.6654  0.6654  0.2500
Dy  0.6667  0.3333  0.0000
Dy  0.6667  0.3333  0.5000
In  0.0000  0.3344  0.7500
In  0.0000  0.6656  0.2500
In  0.3344  0.0000  0.7500
In  0.3344  0.3344  0.2500
In  0.6656  0.0000  0.2500
In  0.6656  0.6656  0.7500

The 10 most intense peaks (2θ = 10–90°), by intensity:
| Position (°2θ) | intensity |
| --- | --- |
| 33.2 | 100 |
| 32.7 | 89 |
| 58.9 | 32 |
| 47.2 | 31 |
| 65.0 | 28 |
| 59.3 | 19 |
| 42.8 | 15 |
| 84.5 | 14 |
| 79.1 | 14 |
| 10.9 | 13 |

For La6SiTe5, a DFT-relaxed cell (GGA-PBE, Alexandria) gives the computed powder X-ray diffraction pattern in this record (copper Kα).

Atomic structure:
Cell: 7.8914 7.8914 7.9017 Å, 99.55 99.55 119.92°
Fractional positions:
La  0.0778  0.3906  0.7349
La  0.2315  0.2315  0.2610
La  0.3906  0.0778  0.7349
La  0.6094  0.9222  0.2651
La  0.7685  0.7685  0.7390
La  0.9222  0.6094  0.2651
Si  0.0000  0.0000  0.5000
Te  0.1734  0.8266  0.0000
Te  0.3346  0.6654  0.5000
Te  0.5000  0.5000  0.0000
Te  0.6654  0.3346  0.5000
Te  0.8266  0.1734  0.0000

The 10 most intense peaks (2θ = 10–90°), by intensity:
| Position (°2θ) | intensity |
| --- | --- |
| 27.7 | 100 |
| 39.5 | 62 |
| 64.7 | 26 |
| 48.9 | 13 |
| 49.0 | 13 |
| 39.6 | 12 |
| 57.1 | 12 |
| 71.6 | 11 |
| 71.8 | 11 |
| 64.5 | 5 |

For Ba2Na16Sr, a DFT-relaxed cell (GGA-PBE, Alexandria) gives the computed powder X-ray diffraction pattern in this record (copper Kα).

Atomic structure:
Cell: 9.2954 9.2954 9.2954 Å, 82.82 82.82 82.82°
Fractional positions:
Ba  0.0000  0.0000  0.0000
Ba  0.3075  0.3075  0.3075
Na  0.0060  0.0060  0.4975
Na  0.0060  0.4975  0.0060
Na  0.1419  0.6576  0.6576
Na  0.3000  0.3000  0.8114
Na  0.3000  0.8114  0.3000
Na  0.3512  0.6541  0.9554
Na  0.3512  0.9554  0.6541
Na  0.4975  0.0060  0.0060
Na  0.6541  0.3512  0.9554
Na  0.6541  0.9554  0.3512
Na  0.6576  0.1419  0.6576
Na  0.6576  0.6576  0.1419
Na  0.7654  0.7654  0.7654
Na  0.8114  0.3000  0.3000
Na  0.9554  0.3512  0.6541
Na  0.9554  0.6541  0.3512
Sr  0.5570  0.5570  0.5570

The 10 most intense peaks (2θ = 10–90°), by intensity:
| Position (°2θ) | intensity |
| --- | --- |
| 29.2 | 100 |
| 29.0 | 78 |
| 14.4 | 77 |
| 25.1 | 75 |
| 20.7 | 67 |
| 29.8 | 65 |
| 25.9 | 49 |
| 41.7 | 44 |
| 21.4 | 39 |
| 42.1 | 34 |

For RbCd2Ag2Cl7, a DFT-relaxed cell (GGA-PBE, Alexandria) gives the computed powder X-ray diffraction pattern in this record (copper Kα).

Atomic structure:
Cell: 11.4864 11.4864 11.4864 Å, 152.59 39.16 152.58°
Fractional positions:
Rb  0.0000  0.0000  0.0000
Cd  0.3828  0.0018  0.3810
Cd  0.6208  0.0018  0.6190
Ag  0.2525  0.5028  0.7497
Ag  0.7531  0.5028  0.2503
Cl  0.1212  0.5027  0.6186
Cl  0.2642  0.0029  0.2613
Cl  0.3837  0.5025  0.8812
Cl  0.5055  0.0055  0.5000
Cl  0.6212  0.5025  0.1188
Cl  0.7416  0.0029  0.7387
Cl  0.8841  0.5027  0.3814

The 10 most intense peaks (2θ = 10–90°), by intensity:
| Position (°2θ) | intensity |
| --- | --- |
| 32.9 | 100 |
| 47.4 | 62 |
| 24.5 | 53 |
| 33.1 | 46 |
| 20.4 | 46 |
| 47.2 | 34 |
| 58.9 | 31 |
| 16.8 | 26 |
| 26.3 | 26 |
| 88.0 | 20 |